[1]
Simulated XRD peak list of PaNbNi2H6 for Cu Kα X-rays, from the GGA-PBE geometry in Alexandria.
No peak broadening, texture or thermal motion is included.

Main lines, low angle first (2θ from 10° to 90°):
(hkl)  2θ (°)  d (Å)  intensity
1 0 1  23.88  3.726  512
0 1 2  26.06  3.419  689
1 0 4  33.48  2.677  1000
0 0 6  36.17  2.483  285
0 1 5  38.20  2.356  382
1 1 0  40.60  2.222  944
0 2 4  53.61  1.710  264
1 1 6  55.49  1.656  536

Cell and atoms:
a b c (Å): 4.4442 4.4442 14.8986
angles (deg): 90.00 90.00 120.00
Space group R-3m (No. 166, hexagonal axes)
Inequivalent atoms, fractional coordinates:
Pa1 0.0000 0.0000 0.0000 (multiplicity 3)
Nb1 0.0000 0.0000 0.5000 (multiplicity 3)
Ni1 0.0000 0.0000 0.1980 (multiplicity 6)
H1 0.0102 0.5051 0.0638 (multiplicity 18)

[2]
Simulated XRD peak list of Nb2Si3Ni5H2 for Cu Kα X-rays, from the GGA-PBE geometry in Alexandria.
No peak broadening, texture or thermal motion is included.

Main lines, low angle first (2θ from 10° to 90°):
(hkl)  2θ (°)  d (Å)  intensity
1 0 5  33.44  2.680  442
1 1 2  36.42  2.467  387
1 1 4  39.71  2.270  601
1 1 6  44.74  2.026  1000
0 0 10  45.16  2.008  248
2 0 0  50.74  1.799  618
2 0 10  70.24  1.340  245
2 2 0  74.59  1.272  184

Cell and atoms:
a b c (Å): 3.5987 3.5987 20.0775
angles (deg): 90.00 90.00 90.00
Space group I4/mmm (No. 139)
Inequivalent atoms, fractional coordinates:
Nb1 0.0000 0.0000 0.2021 (multiplicity 4)
Si1 0.0000 0.0000 0.3334 (multiplicity 4)
Si2 0.0000 0.0000 0.5000 (multiplicity 2)
Ni1 0.0000 0.0000 0.0000 (multiplicity 2)
Ni2 0.0000 0.5000 0.0885 (multiplicity 8)
H1 0.0000 0.0000 0.0877 (multiplicity 4)

[3]
Simulated XRD peak list of NbTeHOsO for Cu Kα X-rays, from the GGA-PBE geometry in Alexandria.
No peak broadening, texture or thermal motion is included.

Main lines, low angle first (2θ from 10° to 90°):
(hkl)  2θ (°)  d (Å)  intensity
0 0 1  10.72  8.250  1000
1 0 0  24.86  3.582  145
1 0 -1  26.81  3.326  232
1 0 1  27.48  3.246  206
0 1 2  37.06  2.426  405
1 1 -1  40.50  2.227  197
1 1 1  40.97  2.203  216
1 1 -2  44.71  2.027  213

Cell and atoms:
a b c (Å): 3.5835 2.9991 8.2550
angles (deg): 90.00 91.90 90.00
Space group Pm (No. 6)
Inequivalent atoms, fractional coordinates:
Nb1 0.0000 0.0000 0.0000 (multiplicity 1)
Te1 0.4640 0.0000 0.5395 (multiplicity 1)
H1 0.9849 0.5000 0.8021 (multiplicity 1)
Os1 0.4856 0.5000 0.8111 (multiplicity 1)
O1 0.0119 0.5000 0.1523 (multiplicity 1)

[4]
Simulated XRD peak list of NbPHO5 for Cu Kα X-rays, from the GGA-PBE geometry in Alexandria.
No peak broadening, texture or thermal motion is included.

Main lines, low angle first (2θ from 10° to 90°):
(hkl)  2θ (°)  d (Å)  intensity
0 1 0  16.58  5.346  726
1 0 0  18.12  4.897  842
1 -1 0  20.01  4.436  1000
0 0 2  25.87  3.444  525
0 1 -2  26.20  3.401  387
1 1 0  28.59  3.122  481
1 1 -2  29.61  3.017  603
0 2 0  33.53  2.673  451

Cell and atoms:
a b c (Å): 5.4584 5.8006 7.5797
angles (deg): 101.60 107.54 104.83
Space group P-1 (No. 2)
Inequivalent atoms, fractional coordinates:
Nb1 0.0000 0.0000 0.0000 (multiplicity 1)
Nb2 0.0000 0.0000 0.5000 (multiplicity 1)
P1 0.3103 0.5396 0.3826 (multiplicity 2)
H1 0.4833 0.0578 0.8556 (multiplicity 2)
O1 0.1253 0.0406 0.7762 (multiplicity 2)
O2 0.1971 0.3960 0.1735 (multiplicity 2)
O3 0.2029 0.7295 0.4616 (multiplicity 2)
O4 0.3301 0.9402 0.1300 (multiplicity 2)
O5 0.3477 0.3514 0.5264 (multiplicity 2)

[5]
Simulated XRD peak list of NbHOs for Cu Kα X-rays, from the GGA-PBE geometry in Alexandria.
No peak broadening, texture or thermal motion is included.

Main lines, low angle first (2θ from 10° to 90°):
(hkl)  2θ (°)  d (Å)  intensity
2 0 -1  22.35  3.978  325
4 0 0  35.87  2.504  412
2 0 -2  37.72  2.385  384
1 1 1  38.90  2.315  1000
3 1 0  41.49  2.177  265
3 1 -1  42.77  2.114  583
4 0 1  45.04  2.013  182
2 0 2  46.39  1.957  228

Cell and atoms:
a b c (Å): 10.3508 2.8708 4.8916
angles (deg): 90.00 104.63 90.00
Space group Cm (No. 8)
Inequivalent atoms, fractional coordinates:
Nb1 0.0000 0.0000 0.0000 (multiplicity 2)
Nb2 0.1991 0.0000 0.6341 (multiplicity 2)
H1 0.1015 0.5000 0.3177 (multiplicity 2)
H2 0.3949 0.0000 0.7771 (multiplicity 2)
Os1 0.2503 0.5000 0.1459 (multiplicity 2)
Os2 0.4449 0.0000 0.4556 (multiplicity 2)

[6]
Simulated XRD peak list of NbPHRu for Cu Kα X-rays, from the GGA-PBE geometry in Alexandria.
No peak broadening, texture or thermal motion is included.

Main lines, low angle first (2θ from 10° to 90°):
(hkl)  2θ (°)  d (Å)  intensity
0 0 1  14.35  6.173  173
1 1 1  35.68  2.516  1000
1 0 2  37.16  2.420  418
0 0 3  44.04  2.056  521
2 0 0  46.61  1.949  475
2 1 2  61.06  1.518  187
3 1 1  79.27  1.209  189
2 2 3  84.68  1.145  189

Cell and atoms:
a b c (Å): 3.8971 3.8971 6.1731
angles (deg): 90.00 90.00 90.00
Space group P4/nmm (No. 129, origin choice 2)
Inequivalent atoms, fractional coordinates:
Nb1 0.2500 0.2500 0.1292 (multiplicity 2)
P1 0.2500 0.2500 0.7113 (multiplicity 2)
H1 0.2500 0.7500 0.0000 (multiplicity 2)
Ru1 0.2500 0.7500 0.5000 (multiplicity 2)

- Number 4 is which compound?
  NbPHO5